Starting from a cell relaxed with GGA-PBE, the powder X-ray diffraction pattern of Cs2Ag2Te4W was computed for Cu Kα.
Kinematic intensities with the Lorentz-polarization factor, no thermal factor.

The 12 most intense peaks (2θ = 15–90°), low angle first:
- (0 2 1), 2θ = 17.8°, 4.996 Å, I 11
- (1 3 1), 2θ = 25.9°, 3.446 Å, I 100
- (2 2 0), 2θ = 29.3°, 3.050 Å, I 21
- (0 2 2), 2θ = 29.4°, 3.036 Å, I 21
- (1 5 1), 2θ = 35.1°, 2.556 Å, I 14
- (2 4 0), 2θ = 35.8°, 2.505 Å, I 13
- (0 4 2), 2θ = 36.0°, 2.498 Å, I 13
- (2 0 2), 2θ = 38.4°, 2.347 Å, I 48
- (2 6 0), 2θ = 45.0°, 2.016 Å, I 44
- (3 3 1), 2θ = 46.7°, 1.944 Å, I 18
- (1 3 3), 2θ = 46.9°, 1.937 Å, I 17
- (2 8 2), 2θ = 62.9°, 1.478 Å, I 13

Cell and atoms:
Unit cell a=6.6570 b=15.2227 c=6.6219 alpha=90.00 beta=90.00 gamma=90.00
Space group C222 (No. 21)
One atom of each set of equivalent atoms:
Cs1 0.2500 0.2500 0.2411 [4 per cell]
Ag1 0.0000 0.0000 0.0000 [2 per cell]
Ag2 0.0000 0.5000 0.5000 [2 per cell]
Te1 0.2285 0.1039 0.7280 [8 per cell]
W1 0.0000 0.0000 0.5000 [2 per cell]